Simulated X-ray diffraction stick pattern
Compound: Fe5Cl3
Radiation: CuKα
Structure: a cell relaxed with GGA-PBE

Cell and atoms:
a b c (Å): 6.229 6.505 7.842
angles (deg): 99.18 105.21 113.69
Fractional positions:
1 Fe 0.087 0.233 0.003
2 Fe 0.105 0.583 0.198
3 Fe 0.232 0.930 0.835
4 Fe 0.355 0.695 0.997
5 Fe 0.360 0.043 0.186
6 Fe 0.640 0.957 0.814
7 Fe 0.645 0.305 0.003
8 Fe 0.768 0.070 0.165
9 Fe 0.895 0.417 0.802
10 Fe 0.913 0.767 0.997
11 Cl 0.233 0.301 0.334
12 Cl 0.267 0.809 0.538
13 Cl 0.283 0.331 0.786
14 Cl 0.717 0.669 0.214
15 Cl 0.733 0.191 0.462
16 Cl 0.767 0.699 0.666

Most intense lines, 2θ from 10° to 90°, in order of falling intensity:
(hkl)  Position (°2θ)  d/Å  intensity
0 0 1  12.26  7.219  100
-2 1 3  41.83  2.160  26
2 -1 2  43.75  2.069  19
2 1 -1  40.43  2.231  16
0 2 -3  41.26  2.188  15
2 -3 0  43.91  2.062  15
1 -1 0  16.71  5.306  15
0 2 2  46.21  1.965  13


Simulated X-ray diffraction stick pattern
Compound: Fe2Cl13
Radiation: CuKα
Structure: a cell relaxed with GGA-PBE

Cell and atoms:
a b c (Å): 8.287 9.197 9.717
angles (deg): 74.62 65.43 64.35
Fractional positions:
1 Fe 0.113 0.108 0.116
2 Fe 0.887 0.892 0.884
3 Cl 0.000 0.000 0.000
4 Cl 0.116 0.726 0.729
5 Cl 0.215 0.388 0.456
6 Cl 0.266 0.905 0.241
7 Cl 0.268 0.240 0.935
8 Cl 0.406 0.178 0.511
9 Cl 0.430 0.474 0.110
10 Cl 0.570 0.526 0.890
11 Cl 0.594 0.822 0.489
12 Cl 0.732 0.760 0.065
13 Cl 0.734 0.095 0.759
14 Cl 0.785 0.612 0.544
15 Cl 0.884 0.274 0.271

Most intense lines, 2θ from 10° to 90°, in order of falling intensity:
(hkl)  Position (°2θ)  d/Å  intensity
1 1 -1  19.76  4.493  100
1 1 2  19.01  4.668  39
2 1 1  21.45  4.143  37
1 -1 0  19.41  4.574  28
1 -1 1  20.32  4.370  25
0 0 1  10.06  8.789  21
0 1 -1  15.48  5.724  18
2 2 2  25.93  3.437  17